For Rb3Ag2Cl4, a cell relaxed with PBE gives the computed XRD peak list in this record (λ = 1.5418 Å (Cu Kα)).

```
data_Rb3Ag2Cl4
_chemical_formula_sum 'Rb6 Ag4 Cl8'
_symmetry_space_group_name_H-M 'P 1'
_symmetry_Int_Tables_number 1
_cell_length_a 9.232
_cell_length_b 9.232
_cell_length_c 8.737
_cell_angle_alpha 94.57
_cell_angle_beta 94.57
_cell_angle_gamma 57.42
loop_
_symmetry_equiv_pos_as_xyz
'x,y,z'
loop_
_atom_site_label
_atom_site_type_symbol
_atom_site_fract_x
_atom_site_fract_y
_atom_site_fract_z
_atom_site_occupancy
Rb1 Rb 0.018 0.982 0.750 1
Rb2 Rb 0.278 0.441 0.137 1
Rb3 Rb 0.441 0.278 0.637 1
Rb4 Rb 0.559 0.722 0.363 1
Rb5 Rb 0.722 0.559 0.863 1
Rb6 Rb 0.982 0.018 0.250 1
Ag1 Ag 0.019 0.347 0.525 1
Ag2 Ag 0.347 0.019 0.025 1
Ag3 Ag 0.653 0.981 0.975 1
Ag4 Ag 0.981 0.653 0.475 1
Cl1 Cl 0.145 0.266 0.825 1
Cl2 Cl 0.245 0.692 0.481 1
Cl3 Cl 0.266 0.145 0.325 1
Cl4 Cl 0.308 0.755 0.019 1
Cl5 Cl 0.692 0.245 0.981 1
Cl6 Cl 0.734 0.855 0.675 1
Cl7 Cl 0.755 0.308 0.519 1
Cl8 Cl 0.855 0.734 0.175 1
```

Top 6 peaks for 10° ≤ 2θ ≤ 90°, in order of falling intensity:
- 2θ 15.62, intensity 100
- 2θ 24.68, intensity 72
- 2θ 28.75, intensity 55
- 2θ 31.03, intensity 54
- 2θ 34.61, intensity 53
- 2θ 33.45, intensity 50

For SrGa3Cl12, a cell relaxed with PBE gives the computed XRD peak list in this record (λ = 1.5418 Å (Cu Kα)).

```
data_SrGa3Cl12
_chemical_formula_sum 'Sr2 Ga6 Cl24'
_symmetry_space_group_name_H-M 'P 1'
_symmetry_Int_Tables_number 1
_cell_length_a 12.759
_cell_length_b 12.759
_cell_length_c 12.759
_cell_angle_alpha 51.80
_cell_angle_beta 51.80
_cell_angle_gamma 51.80
loop_
_symmetry_equiv_pos_as_xyz
'x,y,z'
loop_
_atom_site_label
_atom_site_type_symbol
_atom_site_fract_x
_atom_site_fract_y
_atom_site_fract_z
_atom_site_occupancy
Sr1 Sr 0.000 0.000 0.000 1
Sr2 Sr 0.500 0.500 0.500 1
Ga1 Ga 0.163 0.791 0.382 1
Ga2 Ga 0.291 0.663 0.882 1
Ga3 Ga 0.382 0.163 0.791 1
Ga4 Ga 0.663 0.882 0.291 1
Ga5 Ga 0.791 0.382 0.163 1
Ga6 Ga 0.882 0.291 0.663 1
Cl1 Cl 0.029 0.061 0.710 1
Cl2 Cl 0.061 0.710 0.029 1
Cl3 Cl 0.177 0.192 0.818 1
Cl4 Cl 0.192 0.818 0.177 1
Cl5 Cl 0.210 0.561 0.529 1
Cl6 Cl 0.318 0.692 0.677 1
Cl7 Cl 0.330 0.838 0.835 1
Cl8 Cl 0.335 0.338 0.830 1
Cl9 Cl 0.338 0.830 0.335 1
Cl10 Cl 0.429 0.449 0.983 1
Cl11 Cl 0.449 0.983 0.429 1
Cl12 Cl 0.483 0.949 0.929 1
Cl13 Cl 0.529 0.210 0.561 1
Cl14 Cl 0.561 0.529 0.210 1
Cl15 Cl 0.677 0.318 0.692 1
Cl16 Cl 0.692 0.677 0.318 1
Cl17 Cl 0.710 0.029 0.061 1
Cl18 Cl 0.818 0.177 0.192 1
Cl19 Cl 0.830 0.335 0.338 1
Cl20 Cl 0.835 0.330 0.838 1
Cl21 Cl 0.838 0.835 0.330 1
Cl22 Cl 0.929 0.483 0.949 1
Cl23 Cl 0.949 0.929 0.483 1
Cl24 Cl 0.983 0.429 0.449 1
```

Top 6 peaks for 10° ≤ 2θ ≤ 90°, in order of falling intensity:
- 2θ 10.61, intensity 100
- 2θ 17.84, intensity 55
- 2θ 16.09, intensity 33
- 2θ 32.17, intensity 30
- 2θ 22.70, intensity 24
- 2θ 32.75, intensity 23